Entry 1:
Structure and theoretical powder XRD pattern of Ta2Nb5Pd2 (DFT lattice parameters and positions (PBE); Cu Kα, 1.54184 Å).
Kinematic intensities with the Lorentz-polarization factor, no thermal factor.

Crystal structure
abc: 2.8141 7.2296 7.9882
angles: 99.56 91.53 99.72
Element x y z (fractional)
Ta 0.1764 0.0080 0.3336
Ta 0.8236 0.9920 0.6664
Nb 0.0458 0.6597 0.7916
Nb 0.3728 0.6636 0.4497
Nb 0.5000 0.0000 0.0000
Nb 0.6272 0.3364 0.5503
Nb 0.9542 0.3403 0.2084
Pd 0.3070 0.3219 0.8772
Pd 0.6930 0.6781 0.1228

Largest 10 diffraction maxima, by intensity, 5° ≤ 2θ ≤ 70°:
2θ 38.68, I = 100
2θ 38.48, I = 34
2θ 39.17, I = 32
2θ 39.95, I = 31
2θ 54.34, I = 12
2θ 57.30, I = 11
2θ 57.08, I = 10
2θ 12.61, I = 10
2θ 69.65, I = 6
2θ 68.83, I = 6

=====

Entry 2:
Structure and theoretical powder XRD pattern of Ta2Nb3Pd (DFT lattice parameters and positions (PBE); Cu Kα, 1.54184 Å).
Kinematic intensities with the Lorentz-polarization factor, no thermal factor.

Crystal structure
abc: 8.5843 8.5843 8.5843
angles: 120.29 120.29 89.50
Element x y z (fractional)
Ta 0.2775 0.7131 0.5644
Ta 0.2869 0.3513 0.5644
Ta 0.2869 0.7225 0.9356
Ta 0.3513 0.2869 0.0644
Ta 0.6487 0.7131 0.9356
Ta 0.7131 0.2775 0.0644
Ta 0.7131 0.6487 0.4356
Ta 0.7225 0.2869 0.4356
Nb 0.0000 0.5000 0.5000
Nb 0.0592 0.3092 0.1183
Nb 0.0592 0.9408 0.7500
Nb 0.3092 0.0592 0.6183
Nb 0.3092 0.6908 0.2500
Nb 0.5000 0.0000 0.0000
Nb 0.5000 0.5000 0.0000
Nb 0.5000 0.5000 0.5000
Nb 0.6908 0.3092 0.7500
Nb 0.6908 0.9408 0.3817
Nb 0.9408 0.0592 0.2500
Nb 0.9408 0.6908 0.8817
Pd 0.0696 0.3196 0.7500
Pd 0.3196 0.0696 0.2500
Pd 0.6804 0.9304 0.7500
Pd 0.9304 0.6804 0.2500

Largest 10 diffraction maxima, by intensity, 5° ≤ 2θ ≤ 70°:
2θ 38.70, I = 100
2θ 38.59, I = 62
2θ 38.39, I = 56
2θ 42.11, I = 39
2θ 36.36, I = 38
2θ 25.45, I = 36
2θ 12.65, I = 34
2θ 65.21, I = 27
2θ 65.52, I = 24
2θ 42.30, I = 20

=====

Entry 3:
Structure and theoretical powder XRD pattern of TaNbPd (DFT lattice parameters and positions (PBE); Cu Kα, 1.54184 Å).
Kinematic intensities with the Lorentz-polarization factor, no thermal factor.

Crystal structure
abc: 4.5700 4.5700 5.6942
angles: 90.00 90.00 120.00
Element x y z (fractional)
Ta 0.0000 0.0000 0.2477
Ta 0.0000 0.0000 0.7523
Nb 0.3333 0.6667 0.0906
Nb 0.6667 0.3333 0.9094
Pd 0.3333 0.6667 0.5993
Pd 0.6667 0.3333 0.4007

Largest 8 diffraction maxima, by intensity, 5° ≤ 2θ ≤ 70°:
2θ 38.97, I = 100
2θ 39.43, I = 96
2θ 56.64, I = 33
2θ 22.46, I = 15
2θ 51.27, I = 7
2θ 31.42, I = 4
2θ 45.86, I = 3
2θ 62.04, I = 2

=====

Entry 4:
Structure and theoretical powder XRD pattern of Tb2NbPd9 (DFT lattice parameters and positions (PBE); Cu Kα, 1.54184 Å).
Kinematic intensities with the Lorentz-polarization factor, no thermal factor.

Crystal structure
abc: 4.0735 4.0735 12.2520
angles: 90.00 90.00 90.00
Element x y z (fractional)
Tb 0.0000 0.0000 0.1665
Tb 0.0000 0.0000 0.8335
Nb 0.0000 0.0000 0.5000
Pd 0.0000 0.5000 0.0000
Pd 0.0000 0.5000 0.3464
Pd 0.0000 0.5000 0.6536
Pd 0.5000 0.0000 0.0000
Pd 0.5000 0.0000 0.3464
Pd 0.5000 0.0000 0.6536
Pd 0.5000 0.5000 0.1736
Pd 0.5000 0.5000 0.5000
Pd 0.5000 0.5000 0.8264

Largest 10 diffraction maxima, by intensity, 5° ≤ 2θ ≤ 70°:
2θ 38.24, I = 100
2θ 44.48, I = 33
2θ 64.67, I = 30
2θ 44.36, I = 15
2θ 36.69, I = 2
2θ 34.41, I = 1
2θ 69.52, I = 1
2θ 58.97, I = 1
2θ 21.80, I = 1
2θ 31.02, I = 1

=====

Entry 5:
Structure and theoretical powder XRD pattern of NbTe4Pd2 (DFT lattice parameters and positions (PBE); Cu Kα, 1.54184 Å).
Kinematic intensities with the Lorentz-polarization factor, no thermal factor.

Crystal structure
abc: 8.1101 8.1101 8.1101
angles: 119.94 119.94 90.10
Element x y z (fractional)
Nb 0.3750 0.6250 0.7500
Nb 0.6250 0.3750 0.2500
Te 0.2230 0.2413 0.9818
Te 0.2413 0.2230 0.4818
Te 0.2413 0.7595 0.0182
Te 0.2405 0.7587 0.4818
Te 0.7595 0.2413 0.5182
Te 0.7587 0.2405 0.9818
Te 0.7587 0.7770 0.5182
Te 0.7770 0.7587 0.0182
Pd 0.0000 0.0000 0.0000
Pd 0.0000 0.0000 0.5000
Pd 0.0000 0.5000 0.0000
Pd 0.5000 0.0000 0.5000

Largest 10 diffraction maxima, by intensity, 5° ≤ 2θ ≤ 70°:
2θ 44.68, I = 100
2θ 31.18, I = 81
2θ 25.75, I = 39
2θ 40.87, I = 32
2θ 26.92, I = 31
2θ 55.49, I = 19
2θ 13.37, I = 15
2θ 52.94, I = 12
2θ 21.91, I = 12
2θ 64.99, I = 10

=====

Entry 6:
Structure and theoretical powder XRD pattern of TiNbVPd (DFT lattice parameters and positions (PBE); Cu Kα, 1.54184 Å).
Kinematic intensities with the Lorentz-polarization factor, no thermal factor.

Crystal structure
abc: 3.0247 3.0247 14.9833
angles: 90.00 90.00 90.00
Element x y z (fractional)
Ti 0.0000 0.0000 0.0000
Ti 0.5000 0.5000 0.5000
Nb 0.0000 0.0000 0.2136
Nb 0.5000 0.5000 0.7136
V 0.0000 0.0000 0.6067
V 0.5000 0.5000 0.1067
Pd 0.0000 0.0000 0.3903
Pd 0.5000 0.5000 0.8903

Largest 10 diffraction maxima, by intensity, 5° ≤ 2θ ≤ 70°:
2θ 42.46, I = 100
2θ 30.14, I = 63
2θ 42.26, I = 56
2θ 61.30, I = 18
2θ 23.75, I = 15
2θ 56.66, I = 13
2θ 35.96, I = 12
2θ 69.81, I = 11
2θ 34.67, I = 9
2θ 49.05, I = 8

=====

Entry 7:
Structure and theoretical powder XRD pattern of Tm2NbPd (DFT lattice parameters and positions (PBE); Cu Kα, 1.54184 Å).
Kinematic intensities with the Lorentz-polarization factor, no thermal factor.

Crystal structure
abc: 3.3383 3.3383 7.8605
angles: 90.00 90.00 90.00
Element x y z (fractional)
Tm 0.0000 0.0000 0.2276
Tm 0.0000 0.0000 0.7724
Nb 0.5000 0.5000 0.5000
Pd 0.5000 0.5000 0.0000

Largest 10 diffraction maxima, by intensity, 5° ≤ 2θ ≤ 70°:
2θ 35.27, I = 100
2θ 38.12, I = 42
2θ 67.06, I = 30
2θ 61.39, I = 17
2θ 55.01, I = 15
2θ 46.20, I = 10
2θ 26.70, I = 6
2θ 11.26, I = 5
2θ 43.93, I = 4
2θ 22.62, I = 4

=====

Entry 8:
Structure and theoretical powder XRD pattern of Nb6VPd (DFT lattice parameters and positions (PBE); Cu Kα, 1.54184 Å).
Kinematic intensities with the Lorentz-polarization factor, no thermal factor.

Crystal structure
abc: 4.6343 4.6343 12.9493
angles: 90.00 90.00 90.00
Element x y z (fractional)
Nb 0.0000 0.0000 0.2445
Nb 0.0000 0.0000 0.7555
Nb 0.0000 0.5000 0.1234
Nb 0.0000 0.5000 0.3766
Nb 0.0000 0.5000 0.6234
Nb 0.0000 0.5000 0.8766
Nb 0.5000 0.0000 0.1234
Nb 0.5000 0.0000 0.3766
Nb 0.5000 0.0000 0.6234
Nb 0.5000 0.0000 0.8766
Nb 0.5000 0.5000 0.2555
Nb 0.5000 0.5000 0.7445
V 0.0000 0.0000 0.0000
V 0.5000 0.5000 0.5000
Pd 0.0000 0.0000 0.5000
Pd 0.5000 0.5000 0.0000

Largest 10 diffraction maxima, by intensity, 5° ≤ 2θ ≤ 70°:
2θ 39.11, I = 100
2θ 38.87, I = 51
2θ 56.14, I = 17
2θ 56.88, I = 8
2θ 28.25, I = 3
2θ 20.35, I = 3
2θ 48.74, I = 1
2θ 53.32, I = 1
2θ 67.92, I = 1
2θ 44.26, I = 1

=====

Entry 9:
Structure and theoretical powder XRD pattern of Y2NbPd9 (DFT lattice parameters and positions (PBE); Cu Kα, 1.54184 Å).
Kinematic intensities with the Lorentz-polarization factor, no thermal factor.

Crystal structure
abc: 4.0732 4.0732 12.2582
angles: 90.00 90.00 90.00
Element x y z (fractional)
Y 0.0000 0.0000 0.1668
Y 0.0000 0.0000 0.8332
Nb 0.0000 0.0000 0.5000
Pd 0.0000 0.5000 0.0000
Pd 0.0000 0.5000 0.3465
Pd 0.0000 0.5000 0.6535
Pd 0.5000 0.0000 0.0000
Pd 0.5000 0.0000 0.3465
Pd 0.5000 0.0000 0.6535
Pd 0.5000 0.5000 0.1736
Pd 0.5000 0.5000 0.5000
Pd 0.5000 0.5000 0.8264

Largest 10 diffraction maxima, by intensity, 5° ≤ 2θ ≤ 70°:
2θ 38.23, I = 100
2θ 44.49, I = 33
2θ 64.62, I = 19
2θ 44.34, I = 15
2θ 64.73, I = 11
2θ 7.21, I = 2
2θ 69.49, I = 1
2θ 43.10, I = 1
2θ 36.66, I = 1
2θ 58.96, I = 1

=====

Entry 10:
Structure and theoretical powder XRD pattern of YNbPd14 (DFT lattice parameters and positions (PBE); Cu Kα, 1.54184 Å).
Kinematic intensities with the Lorentz-polarization factor, no thermal factor.

Crystal structure
abc: 5.7120 5.7120 7.8666
angles: 90.00 90.00 90.00
Element x y z (fractional)
Y 0.0000 0.0000 0.0000
Nb 0.5000 0.5000 0.0000
Pd 0.0000 0.0000 0.5000
Pd 0.0000 0.5000 0.0000
Pd 0.0000 0.5000 0.5000
Pd 0.2564 0.2564 0.2504
Pd 0.2564 0.2564 0.7496
Pd 0.2564 0.7436 0.2504
Pd 0.2564 0.7436 0.7496
Pd 0.5000 0.0000 0.0000
Pd 0.5000 0.0000 0.5000
Pd 0.5000 0.5000 0.5000
Pd 0.7436 0.2564 0.2504
Pd 0.7436 0.2564 0.7496
Pd 0.7436 0.7436 0.2504
Pd 0.7436 0.7436 0.7496

Largest 5 diffraction maxima, by intensity, 5° ≤ 2θ ≤ 70°:
2θ 38.97, I = 100
2θ 44.88, I = 33
2θ 66.35, I = 20
2θ 46.16, I = 15
2θ 65.35, I = 10

=====

Entry 11:
Structure and theoretical powder XRD pattern of PmNbSi2Ru (DFT lattice parameters and positions (PBE); Cu Kα, 1.54184 Å).
Kinematic intensities with the Lorentz-polarization factor, no thermal factor.

Crystal structure
abc: 4.0737 4.0737 11.0459
angles: 90.00 90.00 90.00
Element x y z (fractional)
Pm 0.0000 0.0000 0.0000
Pm 0.5000 0.5000 0.5000
Nb 0.0000 0.5000 0.7500
Nb 0.5000 0.0000 0.2500
Si 0.0000 0.0000 0.3889
Si 0.0000 0.0000 0.6111
Si 0.5000 0.5000 0.1111
Si 0.5000 0.5000 0.8889
Ru 0.0000 0.5000 0.2500
Ru 0.5000 0.0000 0.7500

Largest 10 diffraction maxima, by intensity, 5° ≤ 2θ ≤ 70°:
2θ 35.14, I = 100
2θ 44.48, I = 33
2θ 32.79, I = 29
2θ 23.27, I = 23
2θ 32.42, I = 21
2θ 56.11, I = 17
2θ 59.60, I = 17
2θ 46.78, I = 14
2θ 56.35, I = 12
2θ 64.72, I = 11

=====

Entry 12:
Structure and theoretical powder XRD pattern of PmNb6S8 (DFT lattice parameters and positions (PBE); Cu Kα, 1.54184 Å).
Kinematic intensities with the Lorentz-polarization factor, no thermal factor.

Crystal structure
abc: 6.6591 6.6591 6.6591
angles: 87.62 87.62 87.62
Element x y z (fractional)
Pm 0.0000 0.0000 0.0000
Nb 0.2027 0.5569 0.4091
Nb 0.4091 0.2027 0.5569
Nb 0.4431 0.5909 0.7973
Nb 0.5569 0.4091 0.2027
Nb 0.5909 0.7973 0.4431
Nb 0.7973 0.4431 0.5909
S 0.1312 0.3902 0.7562
S 0.2334 0.2334 0.2334
S 0.2438 0.8688 0.6098
S 0.3902 0.7562 0.1312
S 0.6098 0.2438 0.8688
S 0.7562 0.1312 0.3902
S 0.7666 0.7666 0.7666
S 0.8688 0.6098 0.2438

Largest 10 diffraction maxima, by intensity, 5° ≤ 2θ ≤ 70°:
2θ 30.54, I = 100
2θ 45.40, I = 100
2θ 33.23, I = 93
2θ 41.46, I = 86
2θ 42.48, I = 78
2θ 13.32, I = 68
2θ 39.18, I = 63
2θ 23.48, I = 56
2θ 22.22, I = 50
2θ 43.56, I = 44